Record 1
For Er4AlCdHg2, a cell relaxed with PBE gives the calculated powder diffractogram in this record (Cu Kα).

Structure:
a b c (Å): 5.1955 5.1955 25.4667
angles (deg): 90.00 90.00 120.00
Space group R-3m (No. 166, hexagonal axes)
Asymmetric unit:
Er (0.0000, 0.0000, 0.1224)
Er (0.0000, 0.0000, 0.3726)
Al (0.0000, 0.0000, 0.0000)
Cd (0.0000, 0.0000, 0.5000)
Hg (0.0000, 0.0000, 0.2470)

Principal peaks in the range 2θ from 10° to 90°, by angle:
20.9°, rel. 10, hkl 0 0 6
34.5°, rel. 100, hkl 1 1 0
40.7°, rel. 6, hkl 1 1 6
49.6°, rel. 18, hkl 2 0 8
54.4°, rel. 3, hkl 1 2 2
61.9°, rel. 37, hkl 3 0 0
66.1°, rel. 2, hkl 3 0 6
72.8°, rel. 11, hkl 2 2 0
76.7°, rel. 2, hkl 2 2 6
83.1°, rel. 16, hkl 3 1 8

***

Record 2
For Tb2Nd3Te5, a cell relaxed with PBE gives the calculated powder diffractogram in this record (Cu Kα).

Structure:
a b c (Å): 14.7875 4.4393 10.9026
angles (deg): 90.00 119.63 90.00
Space group C2/m (No. 12)
Asymmetric unit:
Tb (0.0969, 0.0000, 0.4011)
Nd (0.0000, 0.5000, 0.0000)
Nd (0.2061, 0.5000, 0.8042)
Te (0.0000, 0.5000, 0.5000)
Te (0.0968, 0.0000, 0.8922)
Te (0.1984, 0.5000, 0.3099)

Principal peaks in the range 2θ from 10° to 90°, by angle:
28.4°, rel. 100, hkl 3 1 -2
40.5°, rel. 38, hkl 5 1 0
40.6°, rel. 38, hkl 0 2 0
50.1°, rel. 7, hkl 8 0 -2
50.2°, rel. 7, hkl 4 0 -6
50.3°, rel. 14, hkl 2 2 2
58.7°, rel. 13, hkl 6 2 -4
66.5°, rel. 23, hkl 8 2 -2
73.7°, rel. 6, hkl 10 0 0
73.9°, rel. 10, hkl 5 3 0

***

Record 3
For NbCr3Ag2S8, a cell relaxed with PBE gives the calculated powder diffractogram in this record (Cu Kα).

Structure:
a b c (Å): 3.4722 11.0233 13.1651
angles (deg): 90.00 90.00 90.00
Space group Pmn2_1 (No. 31)
Asymmetric unit:
Nb (0.0000, 0.1530, 0.0000)
Cr (0.0000, 0.2156, 0.5062)
Cr (0.0000, 0.6769, 0.7914)
Cr (0.0000, 0.6797, 0.3021)
Ag (0.0000, 0.0046, 0.7060)
Ag (0.0000, 0.4874, 0.5909)
S (0.0000, 0.1832, 0.3297)
S (0.0000, 0.2516, 0.6904)
S (0.0000, 0.3581, 0.9231)
S (0.0000, 0.4684, 0.2443)
S (0.0000, 0.6439, 0.9693)
S (0.0000, 0.7795, 0.6216)
S (0.0000, 0.8841, 0.3669)
S (0.0000, 0.9354, 0.0304)

Principal peaks in the range 2θ from 10° to 90°, by angle:
21.0°, rel. 59, hkl 0 2 2
27.8°, rel. 76, hkl 0 3 2
28.3°, rel. 29, hkl 0 1 4
30.2°, rel. 31, hkl 1 1 2
32.9°, rel. 61, hkl 1 0 3
33.9°, rel. 100, hkl 1 1 3
35.3°, rel. 50, hkl 0 4 2
42.0°, rel. 35, hkl 0 1 6
42.4°, rel. 66, hkl 1 4 1
52.7°, rel. 37, hkl 2 0 0